Structure and computed powder XRD pattern of La4Dy3Tm (the PBE geometry in Alexandria; copper Kα).
Lines closer than 0.1° are merged.

Main lines, most intense first (5° ≤ 2θ ≤ 70°):
index	2θ/deg	d_spacing	I_rel
5 1 -1	32.13	2.786	100
8 0 0	30.40	2.940	51
2 0 2	32.30	2.772	50
3 1 -1	29.23	3.055	42
13 1 -1	55.13	1.666	28
3 1 -3	50.17	1.818	25
5 1 1	36.49	2.463	24
0 0 2	29.42	3.036	21
2 2 2	60.62	1.528	16
8 2 0	59.47	1.554	15

Structure:
```
La4Dy3Tm
1.0
24.334 0.000 0.000
0.000 3.662 0.000
-1.608 0.000 6.075
La Dy Tm
8 6 2
direct
0.123 0.000 0.457
0.248 0.000 0.244
0.252 0.500 0.756
0.377 0.500 0.543
0.623 0.500 0.457
0.748 0.500 0.244
0.752 0.000 0.756
0.877 0.000 0.543
0.000 0.500 0.500
0.122 0.500 0.954
0.378 0.000 0.046
0.500 0.000 0.500
0.622 0.000 0.954
0.878 0.500 0.046
0.000 0.000 0.000
0.500 0.500 0.000
```